(1)
Diffraction record for Ca3SnSb4. The XRD peak list is computed, not measured: it uses a structure optimized by DFT (PBE) and CuKα.
Kinematic intensities with the Lorentz-polarization factor, no thermal factor.

Largest 6 diffraction maxima, by angle, 10 to 80 degrees two-theta:
2θ (°)	I/Imax
22.2	100
24.1	78
25.7	88
35.1	80
37.7	71
37.9	82

Atomic structure:
Cell: 9.2261 9.5482 12.0115 Å, 90.00 90.00 90.00°
Element x y z (fractional)
Ca  0.0589  0.0609  0.1472
Ca  0.0589  0.4391  0.1472
Ca  0.1306  0.7500  0.3884
Ca  0.3694  0.2500  0.8884
Ca  0.4411  0.5609  0.6472
Ca  0.4411  0.9391  0.6472
Ca  0.5589  0.0609  0.3528
Ca  0.5589  0.4391  0.3528
Ca  0.6306  0.7500  0.1116
Ca  0.8694  0.2500  0.6116
Ca  0.9411  0.5609  0.8528
Ca  0.9411  0.9391  0.8528
Sn  0.2259  0.2500  0.5180
Sn  0.2741  0.7500  0.0180
Sn  0.7259  0.2500  0.9820
Sn  0.7741  0.7500  0.4820
Sb  0.0256  0.2500  0.9068
Sb  0.0886  0.5152  0.6032
Sb  0.0886  0.9848  0.6032
Sb  0.2158  0.7500  0.7830
Sb  0.2842  0.2500  0.2830
Sb  0.4114  0.0152  0.1032
Sb  0.4114  0.4848  0.1032
Sb  0.4744  0.7500  0.4068
Sb  0.5256  0.2500  0.5932
Sb  0.5886  0.5152  0.8968
Sb  0.5886  0.9848  0.8968
Sb  0.7158  0.7500  0.7170
Sb  0.7842  0.2500  0.2170
Sb  0.9114  0.0152  0.3968
Sb  0.9114  0.4848  0.3968
Sb  0.9744  0.7500  0.0932


(2)
Diffraction record for Sr5Ca5Sb6. The XRD peak list is computed, not measured: it uses a structure optimized by DFT (PBE) and CuKα.
Kinematic intensities with the Lorentz-polarization factor, no thermal factor.

Largest 6 diffraction maxima, by angle, 10 to 80 degrees two-theta:
2θ (°)	I/Imax
18.9	36
25.0	63
31.6	86
31.7	100
31.8	47
33.0	38

Atomic structure:
Cell: 7.1130 9.3680 9.3680 Å, 119.67 90.00 90.00°
Element x y z (fractional)
Sr  0.0000  0.0000  0.0000
Sr  0.0000  0.2558  0.5069
Sr  0.0000  0.5069  0.2558
Sr  0.5000  0.0013  0.2546
Sr  0.5000  0.2546  0.0013
Ca  0.2500  0.5869  0.9194
Ca  0.2500  0.9194  0.5869
Ca  0.5000  0.5129  0.5129
Ca  0.7500  0.5869  0.9194
Ca  0.7500  0.9194  0.5869
Sb  0.0000  0.2551  0.8613
Sb  0.0000  0.6483  0.6483
Sb  0.0000  0.8613  0.2551
Sb  0.5000  0.2613  0.6455
Sb  0.5000  0.6455  0.2613
Sb  0.5000  0.8574  0.8574


(3)
Diffraction record for CaTb2TmSb4. The XRD peak list is computed, not measured: it uses a structure optimized by DFT (PBE) and CuKα.
Kinematic intensities with the Lorentz-polarization factor, no thermal factor.

Largest 6 diffraction maxima, by angle, 10 to 80 degrees two-theta:
2θ (°)	I/Imax
28.6	100
40.6	13
40.8	25
40.9	25
50.9	13
59.2	13

Atomic structure:
Cell: 7.6519 4.3833 7.6796 Å, 90.00 109.12 90.00°
Element x y z (fractional)
Ca  0.0000  0.0000  0.0000
Tb  0.5000  0.0000  0.5000
Tb  0.5000  0.5000  0.0000
Tm  0.0000  0.5000  0.5000
Sb  0.2489  0.0000  0.7448
Sb  0.2536  0.5000  0.2570
Sb  0.7464  0.5000  0.7430
Sb  0.7511  0.0000  0.2552


(4)
Diffraction record for Ca5Sb2Te2. The XRD peak list is computed, not measured: it uses a structure optimized by DFT (PBE) and CuKα.
Kinematic intensities with the Lorentz-polarization factor, no thermal factor.

Largest 6 diffraction maxima, by angle, 10 to 80 degrees two-theta:
2θ (°)	I/Imax
22.6	74
28.9	100
29.5	67
32.8	86
33.5	80
33.6	81

Atomic structure:
Cell: 8.8701 8.8701 8.6013 Å, 90.00 90.00 57.65°
Element x y z (fractional)
Ca  0.0000  0.0000  0.0000
Ca  0.0258  0.7181  0.6497
Ca  0.2181  0.5258  0.1497
Ca  0.2819  0.9742  0.6497
Ca  0.4742  0.7819  0.1497
Ca  0.5000  0.5000  0.5000
Ca  0.5258  0.2181  0.8503
Ca  0.7181  0.0258  0.3503
Ca  0.7819  0.4742  0.8503
Ca  0.9742  0.2819  0.3503
Sb  0.1534  0.8466  0.3462
Sb  0.3466  0.6534  0.8462
Sb  0.6534  0.3466  0.1538
Sb  0.8466  0.1534  0.6538
Te  0.2039  0.2039  0.0000
Te  0.2961  0.2961  0.5000
Te  0.7039  0.7039  0.5000
Te  0.7961  0.7961  0.0000


(5)
Diffraction record for CaSbTe. The XRD peak list is computed, not measured: it uses a structure optimized by DFT (PBE) and CuKα.
Kinematic intensities with the Lorentz-polarization factor, no thermal factor.

Largest 6 diffraction maxima, by angle, 10 to 80 degrees two-theta:
2θ (°)	I/Imax
22.3	42
23.4	38
30.5	100
31.8	77
32.6	51
44.6	35

Atomic structure:
Cell: 4.0366 4.2599 11.2629 Å, 90.00 90.00 90.00°
Element x y z (fractional)
Ca  0.0000  0.0000  0.0000
Ca  0.5000  0.5000  0.5000
Sb  0.0000  0.0000  0.3624
Sb  0.5000  0.5000  0.8624
Te  0.0000  0.0000  0.6187
Te  0.5000  0.5000  0.1187


(6)
Diffraction record for Ca3SbTe4. The XRD peak list is computed, not measured: it uses a structure optimized by DFT (PBE) and CuKα.
Kinematic intensities with the Lorentz-polarization factor, no thermal factor.

Largest 6 diffraction maxima, by angle, 10 to 80 degrees two-theta:
2θ (°)	I/Imax
25.5	100
33.2	64
39.2	47
43.5	25
47.3	18
65.1	18

Atomic structure:
Cell: 4.5991 4.5991 14.6494 Å, 90.00 90.00 120.00°
Element x y z (fractional)
Ca  0.0000  0.0000  0.0000
Ca  0.0000  0.0000  0.2574
Ca  0.0000  0.0000  0.7426
Sb  0.0000  0.0000  0.5000
Te  0.3333  0.6667  0.3848
Te  0.3333  0.6667  0.8712
Te  0.6667  0.3333  0.1288
Te  0.6667  0.3333  0.6152


(7)
Diffraction record for CaTh4Sb6. The XRD peak list is computed, not measured: it uses a structure optimized by DFT (PBE) and CuKα.
Kinematic intensities with the Lorentz-polarization factor, no thermal factor.

Largest 6 diffraction maxima, by angle, 10 to 80 degrees two-theta:
2θ (°)	I/Imax
24.9	68
28.6	48
30.7	100
32.1	51
33.9	72
38.5	42

Atomic structure:
Cell: 8.7905 8.7905 8.7905 Å, 89.40 89.40 89.40°
Element x y z (fractional)
Ca  0.0000  0.0000  0.0000
Ca  0.5000  0.5000  0.5000
Th  0.1427  0.7500  0.3573
Th  0.2500  0.2500  0.2500
Th  0.2500  0.6427  0.8573
Th  0.3573  0.1427  0.7500
Th  0.6427  0.8573  0.2500
Th  0.7500  0.3573  0.1427
Th  0.7500  0.7500  0.7500
Th  0.8573  0.2500  0.6427
Sb  0.0633  0.9218  0.6713
Sb  0.0782  0.3287  0.9367
Sb  0.1713  0.4218  0.5633
Sb  0.3287  0.9367  0.0782
Sb  0.4218  0.5633  0.1713
Sb  0.4367  0.8287  0.5782
Sb  0.5633  0.1713  0.4218
Sb  0.5782  0.4367  0.8287
Sb  0.6713  0.0633  0.9218
Sb  0.8287  0.5782  0.4367
Sb  0.9218  0.6713  0.0633
Sb  0.9367  0.0782  0.3287


(8)
Diffraction record for Ca2ThZrSb4. The XRD peak list is computed, not measured: it uses a structure optimized by DFT (PBE) and CuKα.
Kinematic intensities with the Lorentz-polarization factor, no thermal factor.

Largest 6 diffraction maxima, by angle, 10 to 80 degrees two-theta:
2θ (°)	I/Imax
12.0	23
28.5	100
40.4	38
41.1	24
50.7	13
66.2	16

Atomic structure:
Cell: 7.6054 4.4055 7.7817 Å, 90.00 109.01 90.00°
Element x y z (fractional)
Ca  0.0000  0.0000  0.0000
Ca  0.5000  0.5000  0.0000
Th  0.0000  0.5000  0.5000
Zr  0.5000  0.0000  0.5000
Sb  0.2616  0.0000  0.7401
Sb  0.2698  0.5000  0.2685
Sb  0.7302  0.5000  0.7315
Sb  0.7384  0.0000  0.2599


(9)
Diffraction record for CaTmSb2. The XRD peak list is computed, not measured: it uses a structure optimized by DFT (PBE) and CuKα.
Kinematic intensities with the Lorentz-polarization factor, no thermal factor.

Largest 6 diffraction maxima, by angle, 10 to 80 degrees two-theta:
2θ (°)	I/Imax
11.6	27
28.5	100
39.8	40
41.8	36
51.4	19
65.4	17

Atomic structure:
Cell: 4.3231 4.3231 22.7930 Å, 90.00 90.00 120.00°
Element x y z (fractional)
Ca  0.0000  0.0000  0.0000
Ca  0.3333  0.6667  0.6667
Ca  0.6667  0.3333  0.3333
Tm  0.0000  0.0000  0.5000
Tm  0.3333  0.6667  0.1667
Tm  0.6667  0.3333  0.8333
Sb  0.0000  0.0000  0.2451
Sb  0.0000  0.0000  0.7549
Sb  0.3333  0.6667  0.4216
Sb  0.3333  0.6667  0.9118
Sb  0.6667  0.3333  0.0882
Sb  0.6667  0.3333  0.5784


(10)
Diffraction record for CaY2TmSb4. The XRD peak list is computed, not measured: it uses a structure optimized by DFT (PBE) and CuKα.
Kinematic intensities with the Lorentz-polarization factor, no thermal factor.

Largest 6 diffraction maxima, by angle, 10 to 80 degrees two-theta:
2θ (°)	I/Imax
28.6	100
40.6	13
40.9	50
51.0	13
59.3	12
67.1	22

Atomic structure:
Cell: 7.6497 4.3735 7.6640 Å, 90.00 109.06 90.00°
Element x y z (fractional)
Ca  0.0000  0.0000  0.0000
Y  0.5000  0.0000  0.5000
Y  0.5000  0.5000  0.0000
Tm  0.0000  0.5000  0.5000
Sb  0.2495  0.0000  0.7450
Sb  0.2542  0.5000  0.2571
Sb  0.7458  0.5000  0.7429
Sb  0.7505  0.0000  0.2550


(11)
Diffraction record for Ca2YSb2. The XRD peak list is computed, not measured: it uses a structure optimized by DFT (PBE) and CuKα.
Kinematic intensities with the Lorentz-polarization factor, no thermal factor.

Largest 6 diffraction maxima, by angle, 10 to 80 degrees two-theta:
2θ (°)	I/Imax
20.2	37
23.8	23
31.4	100
33.9	46
39.8	24
54.4	23

Atomic structure:
Cell: 8.3575 8.3575 4.3869 Å, 90.00 90.00 90.00°
Element x y z (fractional)
Ca  0.1453  0.3547  0.0000
Ca  0.3547  0.8547  0.0000
Ca  0.6453  0.1453  0.0000
Ca  0.8547  0.6453  0.0000
Y  0.0000  0.0000  0.5000
Y  0.5000  0.5000  0.5000
Sb  0.1615  0.6615  0.5000
Sb  0.3385  0.1615  0.5000
Sb  0.6615  0.8385  0.5000
Sb  0.8385  0.3385  0.5000


(12)
Diffraction record for CaZnSb4. The XRD peak list is computed, not measured: it uses a structure optimized by DFT (PBE) and CuKα.
Kinematic intensities with the Lorentz-polarization factor, no thermal factor.

Largest 6 diffraction maxima, by angle, 10 to 80 degrees two-theta:
2θ (°)	I/Imax
17.2	43
33.3	100
34.9	66
53.4	34
58.6	33
70.0	25

Atomic structure:
Cell: 6.3015 6.3015 6.3015 Å, 60.00 60.00 60.00°
Element x y z (fractional)
Ca  0.0000  0.0000  0.0000
Zn  0.2500  0.2500  0.2500
Sb  0.1275  0.6242  0.6242
Sb  0.6242  0.1275  0.6242
Sb  0.6242  0.6242  0.1275
Sb  0.6242  0.6242  0.6242